Entry 1:
NaHfS2: computed XRD peak list (Cu Kα), based on the GGA-PBE geometry in Alexandria.
Lines closer than 0.1° are merged.

Principal peaks in the range 2θ = 10–90°, by intensity:
6.990 Å, I 100; 2.512 Å, I 60; 3.006 Å, I 55; 2.167 Å, I 30; 3.103 Å, I 29; 1.811 Å, I 24; 1.753 Å, I 17; 2.692 Å, I 16

Atomic structure:
a b c (Å): 7.2962 7.2962 7.2962
angles (deg): 28.75 28.75 28.75
Atoms (fractional coordinates):
Na1 0.0000 0.0000 0.0000
Hf1 0.1690 0.1690 0.1690
S1 0.5752 0.5752 0.5752
S2 0.7626 0.7626 0.7626

Entry 2:
Na3HfSc3S8: computed XRD peak list (Cu Kα), based on the GGA-PBE geometry in Alexandria.
Lines closer than 0.1° are merged.

Principal peaks in the range 2θ = 10–90°, by intensity:
2.723 Å, I 100; 6.727 Å, I 71; 6.162 Å, I 44; 1.868 Å, I 36; 1.989 Å, I 33; 3.266 Å, I 19; 2.153 Å, I 18; 3.194 Å, I 18

Atomic structure:
a b c (Å): 7.9912 7.9912 7.9912
angles (deg): 55.74 55.74 55.74
Atoms (fractional coordinates):
Na1 0.0000 0.5000 0.5000
Na2 0.5000 0.0000 0.5000
Na3 0.5000 0.5000 0.0000
Hf1 0.5000 0.5000 0.5000
Sc1 0.0000 0.0000 0.5000
Sc2 0.0000 0.5000 0.0000
Sc3 0.5000 0.0000 0.0000
S1 0.2383 0.2383 0.2383
S2 0.2417 0.7354 0.7354
S3 0.2646 0.2646 0.7583
S4 0.2646 0.7583 0.2646
S5 0.7354 0.2417 0.7354
S6 0.7354 0.7354 0.2417
S7 0.7583 0.2646 0.2646
S8 0.7617 0.7617 0.7617

Entry 3:
Na3Tb3HfS8: computed XRD peak list (Cu Kα), based on the GGA-PBE geometry in Alexandria.
Lines closer than 0.1° are merged.

Principal peaks in the range 2θ = 10–90°, by intensity:
6.753 Å, I 100; 2.829 Å, I 90; 3.363 Å, I 46; 2.033 Å, I 32; 1.969 Å, I 31; 3.232 Å, I 27; 1.890 Å, I 23; 2.207 Å, I 22

Atomic structure:
a b c (Å): 8.1411 8.1411 8.1411
angles (deg): 57.85 57.85 57.85
Atoms (fractional coordinates):
Na1 0.0000 0.5000 0.5000
Na2 0.5000 0.0000 0.5000
Na3 0.5000 0.5000 0.0000
Tb1 0.0000 0.0000 0.5000
Tb2 0.0000 0.5000 0.0000
Tb3 0.5000 0.0000 0.0000
Hf1 0.5000 0.5000 0.5000
S1 0.2426 0.2426 0.2426
S2 0.2590 0.7284 0.7284
S3 0.2716 0.2716 0.7410
S4 0.2716 0.7410 0.2716
S5 0.7284 0.2590 0.7284
S6 0.7284 0.7284 0.2590
S7 0.7410 0.2716 0.2716
S8 0.7574 0.7574 0.7574

Entry 4:
Na3HfU2S6: computed XRD peak list (Cu Kα), based on the GGA-PBE geometry in Alexandria.
Lines closer than 0.1° are merged.

Principal peaks in the range 2θ = 10–90°, by intensity:
6.816 Å, I 100; 2.790 Å, I 87; 3.287 Å, I 48; 3.166 Å, I 37; 2.028 Å, I 33; 2.582 Å, I 23; 1.850 Å, I 23; 1.923 Å, I 19

Atomic structure:
a b c (Å): 6.6609 6.6609 7.1698
angles (deg): 98.93 98.93 120.02
Atoms (fractional coordinates):
Na1 0.0000 0.0000 0.0000
Na2 0.3317 0.6683 0.0000
Na3 0.6683 0.3317 0.0000
Hf1 0.5000 0.5000 0.5000
U1 0.1668 0.8332 0.5000
U2 0.8332 0.1668 0.5000
S1 0.1069 0.4236 0.2713
S2 0.2593 0.2593 0.7274
S3 0.4236 0.1069 0.2713
S4 0.5764 0.8931 0.7287
S5 0.7407 0.7407 0.2726
S6 0.8931 0.5764 0.7287

Entry 5:
Na4Hf3ZrS8: computed XRD peak list (Cu Kα), based on the GGA-PBE geometry in Alexandria.
Lines closer than 0.1° are merged.

Principal peaks in the range 2θ = 10–90°, by intensity:
6.845 Å, I 100; 2.691 Å, I 94; 3.124 Å, I 37; 1.993 Å, I 36; 1.825 Å, I 29; 3.021 Å, I 27; 2.150 Å, I 20; 1.763 Å, I 18

Atomic structure:
a b c (Å): 8.0384 8.0384 8.0384
angles (deg): 54.00 54.00 54.00
Atoms (fractional coordinates):
Na1 0.0000 0.0000 0.0000
Na2 0.0000 0.5000 0.5000
Na3 0.5000 0.0000 0.5000
Na4 0.5000 0.5000 0.0000
Hf1 0.0000 0.0000 0.5000
Hf2 0.0000 0.5000 0.0000
Hf3 0.5000 0.0000 0.0000
Zr1 0.5000 0.5000 0.5000
S1 0.2368 0.7434 0.7434
S2 0.2403 0.2403 0.2403
S3 0.2566 0.2566 0.7632
S4 0.2566 0.7632 0.2566
S5 0.7434 0.2368 0.7434
S6 0.7434 0.7434 0.2368
S7 0.7597 0.7597 0.7597
S8 0.7632 0.2566 0.2566

Entry 6:
Na2HfSbSe4: computed XRD peak list (Cu Kα), based on the GGA-PBE geometry in Alexandria.
Lines closer than 0.1° are merged.

Principal peaks in the range 2θ = 10–90°, by intensity:
2.911 Å, I 100; 6.937 Å, I 94; 2.953 Å, I 50; 2.078 Å, I 37; 2.069 Å, I 34; 2.275 Å, I 25; 1.977 Å, I 25; 3.440 Å, I 21

Atomic structure:
a b c (Å): 7.2850 3.9547 7.3293
angles (deg): 90.00 107.88 90.00
Atoms (fractional coordinates):
Na1 0.0000 0.0000 0.0000
Na2 0.0000 0.5000 0.5000
Hf1 0.5000 0.0000 0.5000
Sb1 0.5000 0.5000 0.0000
Se1 0.2773 0.0000 0.7364
Se2 0.2819 0.5000 0.2745
Se3 0.7181 0.5000 0.7255
Se4 0.7227 0.0000 0.2636

Entry 7:
NaHfTaSb: computed XRD peak list (Cu Kα), based on the GGA-PBE geometry in Alexandria.
Lines closer than 0.1° are merged.

Principal peaks in the range 2θ = 10–90°, by intensity:
2.568 Å, I 100; 2.578 Å, I 99; 2.511 Å, I 52; 2.235 Å, I 36; 2.226 Å, I 33; 2.500 Å, I 32; 1.459 Å, I 23; 1.872 Å, I 22

Atomic structure:
a b c (Å): 3.1316 3.1316 9.9991
angles (deg): 90.33 90.33 73.41
Atoms (fractional coordinates):
Na1 0.0000 0.0000 0.0000
Hf1 0.4909 0.4909 0.7054
Ta1 0.9876 0.9876 0.4870
Sb1 0.4842 0.4842 0.2765

Entry 8:
Na5Hf3Se8: computed XRD peak list (Cu Kα), based on the GGA-PBE geometry in Alexandria.
Lines closer than 0.1° are merged.

Principal peaks in the range 2θ = 10–90°, by intensity:
2.863 Å, I 100; 6.973 Å, I 56; 2.078 Å, I 36; 1.975 Å, I 34; 1.626 Å, I 19; 2.251 Å, I 16; 3.376 Å, I 16; 1.255 Å, I 15

Atomic structure:
a b c (Å): 8.3327 8.3327 8.3327
angles (deg): 56.59 56.59 56.59
Atoms (fractional coordinates):
Na1 0.0000 0.0000 0.0000
Na2 0.0000 0.5000 0.5000
Na3 0.5000 0.0000 0.5000
Na4 0.5000 0.5000 0.0000
Na5 0.5000 0.5000 0.5000
Hf1 0.0000 0.0000 0.5000
Hf2 0.0000 0.5000 0.0000
Hf3 0.5000 0.0000 0.0000
Se1 0.2234 0.7484 0.7484
Se2 0.2404 0.2404 0.2404
Se3 0.2516 0.2516 0.7766
Se4 0.2516 0.7766 0.2516
Se5 0.7484 0.2234 0.7484
Se6 0.7484 0.7484 0.2234
Se7 0.7597 0.7597 0.7597
Se8 0.7766 0.2516 0.2516